[1]
For K3VAu, the PBE geometry in Alexandria gives the theoretical powder diffractogram in this record (a wavelength of 1.5418 Å).
Peak positions follow from Bragg's law for the DFT cell and can differ from measured ones.

Structure:
abc: 6.2849 6.2849 6.2849
angles: 90.00 90.00 90.00
Space group Pm-3m (No. 221)
Unique sites:
K: 0.0000 0.0000 0.5000
V: 0.5000 0.5000 0.5000
Au: 0.0000 0.0000 0.0000

Most intense lines, 2θ from 10° to 90°, by angle:
2θ/deg	Rel. int.	h k l
14.1	88.8	1 0 0
20.0	100.0	1 1 0
28.4	70.7	2 0 0
31.8	53.4	2 1 0
35.0	50.9	2 1 1
40.6	52.4	2 2 0
43.2	29.3	3 0 0
45.6	24.5	3 1 0
54.6	28.9	3 2 1
66.5	22.8	4 2 0

[2]
For KZn2Au6, the PBE geometry in Alexandria gives the theoretical powder diffractogram in this record (a wavelength of 1.5418 Å).
Peak positions follow from Bragg's law for the DFT cell and can differ from measured ones.

Structure:
abc: 12.0255 12.0255 12.0255
angles: 90.00 90.00 90.00
Space group Fd-3m (No. 227, origin choice 2)
Unique sites:
K: 0.1250 0.1250 0.1250
Zn: 0.0000 0.0000 0.5000
Au: 0.1147 0.3750 0.8750

Most intense lines, 2θ from 10° to 90°, by angle:
2θ/deg	Rel. int.	h k l
20.9	40.2	2 2 0
29.7	82.7	4 0 0
36.6	22.0	4 2 2
42.5	100.0	4 4 0
47.8	8.4	6 2 0
52.7	21.8	4 4 4
57.3	10.7	6 4 2
61.7	16.0	8 0 0
70.0	27.2	8 4 0
77.8	31.8	8 4 4

[3]
For KZn12Au7, the PBE geometry in Alexandria gives the theoretical powder diffractogram in this record (a wavelength of 1.5418 Å).
Peak positions follow from Bragg's law for the DFT cell and can differ from measured ones.

Structure:
abc: 13.4385 13.4385 6.9712
angles: 90.00 90.00 120.00
Space group R-3m (No. 166, hexagonal axes)
Unique sites:
K: 0.0000 0.0000 0.0000
Zn: 0.0000 0.2658 0.0000
Zn: 0.1099 0.5550 0.9891
Au: 0.0000 0.0000 0.5000
Au: 0.1037 0.5518 0.3755

Most intense lines, 2θ from 10° to 90°, by angle:
2θ/deg	Rel. int.	h k l
19.9	71.4	0 2 1
32.8	55.8	1 2 2
36.0	29.0	3 2 1
38.8	26.4	0 0 3
40.3	100.0	3 3 0
40.4	40.9	0 4 2
42.7	29.1	2 3 2
45.5	32.5	3 0 3
57.1	23.8	3 3 3
76.9	24.7	6 3 3

[4]
For KZn4Au2, the PBE geometry in Alexandria gives the theoretical powder diffractogram in this record (a wavelength of 1.5418 Å).
Peak positions follow from Bragg's law for the DFT cell and can differ from measured ones.

Structure:
abc: 8.1078 8.1078 4.1876
angles: 90.00 90.00 90.00
Space group P4_2/mnm (No. 136)
Unique sites:
K: 0.0000 0.0000 0.0000
Zn: 0.0875 0.3548 0.5000
Au: 0.2258 0.7742 0.5000

Most intense lines, 2θ from 10° to 90°, by angle:
2θ/deg	Rel. int.	h k l
21.9	47.8	2 0 0
26.4	47.2	1 1 1
31.2	29.6	2 2 0
32.7	22.1	2 1 1
38.0	20.5	2 2 1
41.3	100.0	3 1 1
43.2	23.4	0 0 2
46.2	19.9	4 1 0
65.1	18.3	4 4 0
77.9	15.5	3 1 3